Calculated powder XRD pattern of Sc6Hg2NO for Cu Ka, from a crystal structure in Alexandria, relaxed with GGA-PBE.

Main lines, sorted by position (2θ from 15° to 90°):
2θ 19.99, I = 53
2θ 28.42, I = 73
2θ 34.99, I = 100
2θ 40.63, I = 59
2θ 45.68, I = 29
2θ 50.32, I = 31
2θ 58.81, I = 38
2θ 62.76, I = 15
2θ 70.29, I = 38
2θ 81.00, I = 17

Structure:
```
10
Lattice="0.000 4.441 4.441 4.441 0.000 4.441 4.441 4.441 0.000" Properties=species:S:1:pos:R:3 pbc="T T T"
Sc 4.441 4.441 2.199
Sc 4.441 2.199 4.441
Sc 6.684 4.441 4.441
Sc 2.199 4.441 4.441
Sc 4.441 6.684 4.441
Sc 4.441 4.441 6.684
Hg 2.221 2.221 2.221
Hg 6.662 6.662 6.662
N 0.000 0.000 0.000
O 4.441 4.441 4.441
```

=====

Calculated powder XRD pattern of Th3Pa4HgN12 for Cu Ka, from a crystal structure in Alexandria, relaxed with GGA-PBE.

Main lines, sorted by position (2θ from 15° to 90°):
2θ 29.27, I = 100
2θ 41.87, I = 22
2θ 51.90, I = 46
2θ 60.71, I = 14
2θ 68.80, I = 19
2θ 76.47, I = 5
2θ 83.90, I = 24

Structure:
```
20
Lattice="-4.315 4.315 4.315 4.315 -4.315 4.315 4.315 4.315 -4.315" Properties=species:S:1:pos:R:3 pbc="T T T"
Th 4.315 0.000 0.000
Th 0.000 4.315 0.000
Th 0.000 0.000 4.315
Pa 2.158 2.158 -2.158
Pa 2.158 -2.158 2.158
Pa -2.158 2.158 2.158
Pa 2.158 2.158 2.158
Hg 0.000 0.000 0.000
N 4.315 2.500 -1.578
N 2.737 0.000 1.815
N 5.893 0.000 1.815
N 1.815 2.737 0.000
N 2.500 -1.578 4.315
N 4.315 2.500 1.578
N 0.000 1.815 2.737
N 1.815 5.893 0.000
N 2.500 1.578 4.315
N -1.578 4.315 2.500
N 1.578 4.315 2.500
N 0.000 1.815 5.893
```

=====

Calculated powder XRD pattern of HgPb2N2 for Cu Ka, from a crystal structure in Alexandria, relaxed with GGA-PBE.

Main lines, sorted by position (2θ from 15° to 90°):
2θ 24.80, I = 23
2θ 29.92, I = 63
2θ 30.30, I = 43
2θ 30.95, I = 17
2θ 31.19, I = 100
2θ 37.08, I = 36
2θ 41.25, I = 29
2θ 44.00, I = 28
2θ 46.09, I = 23
2θ 65.11, I = 19

Structure:
```
5
Lattice="1.745 -2.950 0.000 1.745 2.950 0.000 -1.724 0.000 14.363" Properties=species:S:1:pos:R:3 pbc="T T T"
Hg 0.000 0.000 0.000
Pb 0.654 0.000 2.907
Pb 1.111 0.000 11.456
N -0.817 0.000 7.738
N 2.582 0.000 6.625
```

=====

Calculated powder XRD pattern of Pm3Pr4Hg3N2 for Cu Ka, from a crystal structure in Alexandria, relaxed with GGA-PBE.

Main lines, sorted by position (2θ from 15° to 90°):
2θ 24.82, I = 14
2θ 28.73, I = 44
2θ 33.02, I = 100
2θ 35.10, I = 34
2θ 35.66, I = 32
2θ 36.12, I = 17
2θ 50.91, I = 24
2θ 61.66, I = 17
2θ 62.39, I = 16
2θ 64.00, I = 13

Structure:
```
12
Lattice="-2.518 2.557 12.433 2.518 -2.557 12.433 2.518 2.557 -12.433" Properties=species:S:1:pos:R:3 pbc="T T T"
Pm 0.000 0.000 0.000
Pm 2.518 0.000 2.399
Pm 0.000 2.557 10.034
Pr 0.000 0.000 4.986
Pr 2.518 0.000 10.049
Pr 0.000 2.557 2.384
Pr 0.000 0.000 19.881
Hg 0.000 0.000 8.095
Hg 0.000 0.000 12.433
Hg 0.000 0.000 16.772
N 0.000 0.000 2.493
N 0.000 0.000 22.374
```